1.
For GdLuAl4, a cell relaxed with GGA-PBE gives the simulated powder diffraction line list in this record (Cu Kα, 1.54184 Å).
No peak broadening, texture or thermal motion is included.

Most intense lines, 10 to 80 degrees two-theta, low angle first:
two_theta	I/Imax
19.64	65
32.34	100
38.13	98
39.89	4
46.39	8
50.84	17
57.69	39
61.55	32
67.70	21
71.26	12
77.04	17

Structure:
Cell: 5.5357 5.5357 5.5357 Å, 60.00 60.00 60.00°
Fractional coordinates of all 6 atoms:
Gd 0.0000 0.0000 0.0000
Lu 0.2500 0.2500 0.2500
Al 0.1251 0.6250 0.6250
Al 0.6250 0.1251 0.6250
Al 0.6250 0.6250 0.1251
Al 0.6250 0.6250 0.6250

=====

2.
For Gd2MgAl, a cell relaxed with GGA-PBE gives the simulated powder diffraction line list in this record (Cu Kα, 1.54184 Å).
No peak broadening, texture or thermal motion is included.

Most intense lines, 10 to 80 degrees two-theta, low angle first:
two_theta	I/Imax
23.95	61
34.13	100
42.12	19
49.03	18
55.28	26
61.09	37
71.87	11
76.99	12

Structure:
Cell: 5.2546 5.2546 5.2546 Å, 60.00 60.00 60.00°
Fractional coordinates of all 4 atoms:
Gd 0.2500 0.2500 0.2500
Gd 0.7500 0.7500 0.7500
Mg 0.0000 0.0000 0.0000
Al 0.5000 0.5000 0.5000

=====

3.
For Gd3MgAlS7, a cell relaxed with GGA-PBE gives the simulated powder diffraction line list in this record (Cu Kα, 1.54184 Å).
No peak broadening, texture or thermal motion is included.

Most intense lines, 10 to 80 degrees two-theta, low angle first:
two_theta	I/Imax
17.76	53
20.99	22
23.20	20
25.50	100
27.88	31
34.95	45
35.97	36
36.78	33
40.58	40
41.13	26
49.17	46
51.64	26

Structure:
Cell: 9.7748 9.7748 6.1833 Å, 90.00 90.00 120.00°
Fractional coordinates of all 24 atoms:
Gd 0.1548 0.7747 0.0000
Gd 0.2253 0.3802 0.0000
Gd 0.3802 0.1548 0.5000
Gd 0.6198 0.8452 0.0000
Gd 0.7747 0.6198 0.5000
Gd 0.8452 0.2253 0.5000
Mg 0.0000 0.0000 0.1824
Mg 0.0000 0.0000 0.6824
Al 0.3333 0.6667 0.5789
Al 0.6667 0.3333 0.0789
S 0.0927 0.5228 0.7309
S 0.1052 0.8619 0.4204
S 0.1381 0.2433 0.4204
S 0.2433 0.1052 0.9204
S 0.3333 0.6667 0.2151
S 0.4301 0.9073 0.7309
S 0.4772 0.5699 0.7309
S 0.5228 0.4301 0.2309
S 0.5699 0.0927 0.2309
S 0.6667 0.3333 0.7151
S 0.7567 0.8948 0.4204
S 0.8619 0.7567 0.9204
S 0.8948 0.1381 0.9204
S 0.9073 0.4772 0.2309

=====

4.
For Gd3MnAlS7, a cell relaxed with GGA-PBE gives the simulated powder diffraction line list in this record (Cu Kα, 1.54184 Å).
No peak broadening, texture or thermal motion is included.

Most intense lines, 10 to 80 degrees two-theta, low angle first:
two_theta	I/Imax
17.88	52
23.22	35
25.49	100
27.69	46
34.59	24
34.83	40
36.21	44
36.52	33
40.73	42
40.94	41
48.94	31
51.36	30

Structure:
Cell: 9.8419 9.8419 6.1031 Å, 90.00 90.00 120.00°
Fractional coordinates of all 24 atoms:
Gd 0.1426 0.3775 0.0000
Gd 0.2349 0.8574 0.0000
Gd 0.3775 0.2349 0.5000
Gd 0.6225 0.7651 0.0000
Gd 0.7651 0.1426 0.5000
Gd 0.8574 0.6225 0.5000
Mn 0.0000 0.0000 0.2959
Mn 0.0000 0.0000 0.7959
Al 0.3333 0.6667 0.4236
Al 0.6667 0.3333 0.9236
S 0.0957 0.2418 0.5675
S 0.0967 0.5791 0.2665
S 0.1461 0.9043 0.5675
S 0.2418 0.1461 0.0675
S 0.3333 0.6667 0.7905
S 0.4209 0.5176 0.2665
S 0.4824 0.9033 0.2665
S 0.5176 0.0967 0.7665
S 0.5791 0.4824 0.7665
S 0.6667 0.3333 0.2905
S 0.7582 0.8539 0.5675
S 0.8539 0.0957 0.0675
S 0.9033 0.4209 0.7665
S 0.9043 0.7582 0.0675

=====

5.
For GdAl9Ni3, a cell relaxed with GGA-PBE gives the simulated powder diffraction line list in this record (Cu Kα, 1.54184 Å).
No peak broadening, texture or thermal motion is included.

Most intense lines, 10 to 80 degrees two-theta, low angle first:
two_theta	I/Imax
24.39	45
26.29	33
31.34	91
38.44	78
39.34	24
42.93	100
46.83	20
54.11	19
58.97	21
59.63	31
71.43	20
75.66	25

Structure:
Cell: 10.0834 10.0834 10.0834 Å, 42.43 42.43 42.43°
Fractional coordinates of all 26 atoms:
Gd 0.1669 0.1669 0.1669
Gd 0.8331 0.8331 0.8331
Al 0.0000 0.6659 0.3341
Al 0.0516 0.0516 0.0516
Al 0.1028 0.4322 0.7617
Al 0.2383 0.5678 0.8972
Al 0.2821 0.2821 0.2821
Al 0.2920 0.7080 0.5000
Al 0.3341 0.0000 0.6659
Al 0.3866 0.3866 0.3866
Al 0.4322 0.7617 0.1028
Al 0.5000 0.2920 0.7080
Al 0.5678 0.8972 0.2383
Al 0.6134 0.6134 0.6134
Al 0.6659 0.3341 0.0000
Al 0.7080 0.5000 0.2920
Al 0.7179 0.7179 0.7179
Al 0.7617 0.1028 0.4322
Al 0.8972 0.2383 0.5678
Al 0.9484 0.9484 0.9484
Ni 0.0784 0.7580 0.4182
Ni 0.2420 0.9216 0.5818
Ni 0.4182 0.0784 0.7580
Ni 0.5818 0.2420 0.9216
Ni 0.7580 0.4182 0.0784
Ni 0.9216 0.5818 0.2420

=====

6.
For GdAlNi4, a cell relaxed with GGA-PBE gives the simulated powder diffraction line list in this record (Cu Kα, 1.54184 Å).
No peak broadening, texture or thermal motion is included.

Most intense lines, 10 to 80 degrees two-theta, low angle first:
two_theta	I/Imax
22.11	24
30.32	37
30.70	49
36.54	55
41.69	35
42.28	82
43.12	100
45.09	44
59.38	26
63.08	20
69.10	24
77.66	16

Structure:
Cell: 4.9201 4.9201 4.0212 Å, 90.00 90.00 118.27°
Fractional coordinates of all 6 atoms:
Gd 0.0000 0.0000 0.0000
Al 0.5000 0.5000 0.5000
Ni 0.0000 0.5000 0.5000
Ni 0.3332 0.6668 0.0000
Ni 0.5000 0.0000 0.5000
Ni 0.6668 0.3332 0.0000

=====

7.
For GdAlNi, a cell relaxed with GGA-PBE gives the simulated powder diffraction line list in this record (Cu Kα, 1.54184 Å).
No peak broadening, texture or thermal motion is included.

Most intense lines, 10 to 80 degrees two-theta, low angle first:
two_theta	I/Imax
23.17	25
25.10	34
29.06	37
34.42	92
37.49	100
38.77	33
45.65	17
47.35	21
53.79	26
59.33	37
71.26	18
74.44	20

Structure:
Cell: 3.8395 7.0950 7.0950 Å, 119.99 90.00 90.00°
Fractional coordinates of all 9 atoms:
Gd 0.0000 0.0000 0.0000
Gd 0.0000 0.4197 0.8387
Gd 0.0000 0.8387 0.4197
Al 0.5000 0.1869 0.4195
Al 0.5000 0.4195 0.1869
Al 0.5000 0.6517 0.6517
Ni 0.0000 0.4201 0.4201
Ni 0.5000 0.0866 0.7515
Ni 0.5000 0.7515 0.0866

=====

8.
For GdAlNi4, a cell relaxed with GGA-PBE gives the simulated powder diffraction line list in this record (Cu Kα, 1.54184 Å).
No peak broadening, texture or thermal motion is included.

Most intense lines, 10 to 80 degrees two-theta, low angle first:
two_theta	I/Imax
20.51	11
31.41	78
35.92	29
41.72	54
43.39	100
48.13	24
48.45	6
61.49	12
61.76	23
65.55	27
69.74	23
76.15	18

Structure:
Cell: 5.0001 5.0001 3.7810 Å, 90.00 90.00 120.00°
Fractional coordinates of all 6 atoms:
Gd 0.0000 0.0000 0.0000
Al 0.6667 0.3333 0.0000
Ni 0.0040 0.5020 0.5000
Ni 0.3333 0.6667 0.0000
Ni 0.4980 0.5020 0.5000
Ni 0.4980 0.9960 0.5000